Record 1
Computed powder diffractogram
Compound: PrMgSe3
Radiation: a wavelength of 1.5418 Å
Structure: the PBE geometry in the Materials Project
Peak positions follow from Bragg's law for the DFT cell and can differ from measured ones.

Top 10 peaks for 2θ from 10° to 80°, most intense first:
(hkl)  two_theta  intensity
3 3 -2  42.68  100
0 0 2  28.88  98
2 2 -1  27.07  72
0 2 0  14.17  59
1 3 0  24.84  52
1 3 -1  25.77  48
1 3 1  31.54  48
0 6 0  43.42  42
1 1 -2  26.86  36
0 2 1  20.20  30

Structure:
```
data_PrMgSe3
_chemical_formula_sum 'Pr4 Mg4 Se12'
_space_group_name_H-M_alt 'C 1 2/m 1'
_space_group_IT_number 12
_space_group_name_Hall '-C 2y'
_cell_length_a 7.8305
_cell_length_b 12.5039
_cell_length_c 6.8856
_cell_angle_alpha 90.00
_cell_angle_beta 116.16
_cell_angle_gamma 90.00
loop_
_atom_site_label
_atom_site_type_symbol
_atom_site_fract_x
_atom_site_fract_y
_atom_site_fract_z
_atom_site_occupancy
Pr1 Pr 0.1938 0.0000 0.3137 1
Mg1 Mg 0.0000 0.3326 0.0000 1
Se1 Se 0.0291 0.5000 0.2514 1
Se2 Se 0.0680 0.1729 0.7831 1
```

Record 2
Computed powder diffractogram
Compound: LiNb2P3O12
Radiation: a wavelength of 1.5418 Å
Structure: the PBE geometry in the Materials Project
Peak positions follow from Bragg's law for the DFT cell and can differ from measured ones.

Top 10 peaks for 2θ from 10° to 80°, most intense first:
(hkl)  two_theta  intensity
0 1 1  19.45  100
-2 1 1  20.48  48
2 0 0  28.17  46
1 0 0  13.98  46
1 1 -3  31.02  29
-1 2 1  23.67  24
2 -1 0  23.50  23
-2 1 3  31.34  22
3 0 -2  35.54  20
-2 2 2  28.63  20

Structure:
```
data_LiNb2P3O12
_chemical_formula_sum 'Li2 Nb4 P6 O24'
_space_group_name_H-M_alt 'P -1'
_space_group_IT_number 2
_space_group_name_Hall '-P 1'
_cell_length_a 8.6721
_cell_length_b 8.6781
_cell_length_c 9.1291
_cell_angle_alpha 90.82
_cell_angle_beta 118.07
_cell_angle_gamma 119.14
loop_
_atom_site_label
_atom_site_type_symbol
_atom_site_fract_x
_atom_site_fract_y
_atom_site_fract_z
_atom_site_occupancy
Li1 Li 0.2328 0.2638 0.4142 1
Nb1 Nb 0.2102 0.8565 0.5631 1
Nb2 Nb 0.2118 0.3670 0.0693 1
P1 P 0.0077 0.5397 0.7515 1
P2 P 0.2774 0.0327 0.2494 1
P3 P 0.2880 0.2518 0.7453 1
O1 O 0.0830 0.8685 0.0824 1
O2 O 0.1145 0.2431 0.5710 1
O3 O 0.1310 0.3933 0.2527 1
O4 O 0.1341 0.5312 0.9351 1
O5 O 0.1423 0.6591 0.3817 1
O6 O 0.1579 0.6750 0.7013 1
O7 O 0.2356 0.0244 0.3995 1
O8 O 0.2584 0.0600 0.7270 1
O9 O 0.2896 0.3090 0.9053 1
O10 O 0.3125 0.2202 0.2233 1
O11 O 0.4716 0.0298 0.3017 1
O12 O 0.4972 0.3965 0.7611 1
```

Record 3
Computed powder diffractogram
Compound: BaFe12
Radiation: a wavelength of 1.5418 Å
Structure: the PBE geometry in the Materials Project
Peak positions follow from Bragg's law for the DFT cell and can differ from measured ones.

Top 10 peaks for 2θ from 10° to 80°, most intense first:
(hkl)  two_theta  intensity
2 0 3  46.74  100
1 1 0  38.63  47
1 1 8  51.80  45
1 0 5  30.30  44
1 0 7  36.65  38
1 1 4  42.23  29
1 1 6  46.41  23
1 0 3  25.29  23
2 0 6  51.94  22
1 0 1  22.41  19

Structure:
```
data_BaFe12
_chemical_formula_sum 'Ba2 Fe24'
_space_group_name_H-M_alt 'P 63 m c'
_space_group_IT_number 186
_space_group_name_Hall 'P 6c -2c'
_cell_length_a 4.6610
_cell_length_b 4.6610
_cell_length_c 21.6047
_cell_angle_alpha 90.00
_cell_angle_beta 90.00
_cell_angle_gamma 120.00
loop_
_atom_site_label
_atom_site_type_symbol
_atom_site_fract_x
_atom_site_fract_y
_atom_site_fract_z
_atom_site_occupancy
Ba1 Ba 0.3333 0.6667 0.0000 1
Fe1 Fe 0.0000 0.0000 0.2380 1
Fe2 Fe 0.0000 0.0000 0.4133 1
Fe3 Fe 0.1680 0.3361 0.1470 1
Fe4 Fe 0.1714 0.3428 0.8274 1
Fe5 Fe 0.3333 0.6667 0.2561 1
Fe6 Fe 0.3333 0.6667 0.3767 1
Fe7 Fe 0.3333 0.6667 0.6082 1
Fe8 Fe 0.3333 0.6667 0.7191 1
```

Record 4
Computed powder diffractogram
Compound: MgAg5
Radiation: a wavelength of 1.5418 Å
Structure: the PBE geometry in the Materials Project
Peak positions follow from Bragg's law for the DFT cell and can differ from measured ones.

Top 10 peaks for 2θ from 10° to 80°, most intense first:
(hkl)  two_theta  intensity
1 1 3  40.01  100
0 0 6  37.30  27
1 1 0  35.20  25
3 0 6  75.71  19
1 1 9  69.09  18
3 0 0  63.17  16
1 1 6  52.22  16
2 2 3  77.45  13
1 0 1  21.04  8
0 1 2  23.61  6

Structure:
```
data_MgAg5
_chemical_formula_sum 'Mg3 Ag15'
_space_group_name_H-M_alt 'R 3 2'
_space_group_IT_number 155
_space_group_name_Hall 'R 3 2"'
_cell_length_a 5.0986
_cell_length_b 5.0986
_cell_length_c 14.4645
_cell_angle_alpha 90.00
_cell_angle_beta 90.00
_cell_angle_gamma 120.00
loop_
_atom_site_label
_atom_site_type_symbol
_atom_site_fract_x
_atom_site_fract_y
_atom_site_fract_z
_atom_site_occupancy
Mg1 Mg 0.0000 0.0000 0.0000 1
Ag1 Ag 0.0000 0.0000 0.3332 1
Ag2 Ag 0.9997 0.6664 0.8333 1
```

Record 5
Computed powder diffractogram
Compound: LaC
Radiation: a wavelength of 1.5418 Å
Structure: the PBE geometry in the Materials Project
Peak positions follow from Bragg's law for the DFT cell and can differ from measured ones.

Top 10 peaks for 2θ from 10° to 80°, most intense first:
(hkl)  two_theta  intensity
1 0 0  27.56  100
1 0 1  39.23  91
0 0 1  27.37  31
1 1 0  48.74  26
1 1 1  56.80  25
2 0 1  64.27  21
1 0 2  63.97  19
2 0 0  56.91  13
1 1 2  77.77  13
2 1 0  78.14  11

Structure:
```
data_LaC
_chemical_formula_sum 'La1 C1'
_space_group_name_H-M_alt 'P -6 m 2'
_space_group_IT_number 187
_space_group_name_Hall 'P -6 2'
_cell_length_a 3.7367
_cell_length_b 3.7367
_cell_length_c 3.2590
_cell_angle_alpha 90.00
_cell_angle_beta 90.00
_cell_angle_gamma 120.00
loop_
_atom_site_label
_atom_site_type_symbol
_atom_site_fract_x
_atom_site_fract_y
_atom_site_fract_z
_atom_site_occupancy
La1 La 0.0000 0.0000 0.0000 1
C1 C 0.6667 0.3333 0.5000 1
```

Record 6
Computed powder diffractogram
Compound: SrGaSnH
Radiation: a wavelength of 1.5418 Å
Structure: the PBE geometry in the Materials Project
Peak positions follow from Bragg's law for the DFT cell and can differ from measured ones.

Top 10 peaks for 2θ from 10° to 80°, most intense first:
(hkl)  two_theta  intensity
0 1 1  28.75  100
1 1 0  40.19  43
2 0 1  50.16  21
1 1 2  54.15  20
1 2 1  66.14  19
1 0 2  42.00  19
0 1 3  58.64  15
0 0 2  34.73  12
0 0 1  17.17  11
2 0 3  73.49  8

Structure:
```
data_SrGaSnH
_chemical_formula_sum 'Sr1 Ga1 Sn1 H1'
_space_group_name_H-M_alt 'P 3 m 1'
_space_group_IT_number 156
_space_group_name_Hall 'P 3 -2"'
_cell_length_a 4.4874
_cell_length_b 4.4874
_cell_length_c 5.1655
_cell_angle_alpha 90.00
_cell_angle_beta 90.00
_cell_angle_gamma 120.00
loop_
_atom_site_label
_atom_site_type_symbol
_atom_site_fract_x
_atom_site_fract_y
_atom_site_fract_z
_atom_site_occupancy
Sr1 Sr 0.0000 0.0000 0.0000 1
Ga1 Ga 0.6667 0.3333 0.6024 1
Sn1 Sn 0.3333 0.6667 0.4521 1
H1 H 0.6667 0.3333 0.9409 1
```

Record 7
Computed powder diffractogram
Compound: NdPt
Radiation: a wavelength of 1.5418 Å
Structure: the PBE geometry in the Materials Project
Peak positions follow from Bragg's law for the DFT cell and can differ from measured ones.

Top 10 peaks for 2θ from 10° to 80°, most intense first:
(hkl)  two_theta  intensity
0 0 2  39.13  100
1 1 1  31.15  82
0 4 0  32.87  25
0 4 1  38.39  21
2 0 0  46.52  20
0 8 1  72.33  16
0 4 2  52.03  15
2 0 2  62.39  15
1 3 3  70.95  13
1 7 2  78.04  12

Structure:
```
data_NdPt
_chemical_formula_sum 'Nd4 Pt4'
_space_group_name_H-M_alt 'C m c m'
_space_group_IT_number 63
_space_group_name_Hall '-C 2c 2'
_cell_length_a 3.9050
_cell_length_b 10.9005
_cell_length_c 4.5994
_cell_angle_alpha 90.00
_cell_angle_beta 90.00
_cell_angle_gamma 90.00
loop_
_atom_site_label
_atom_site_type_symbol
_atom_site_fract_x
_atom_site_fract_y
_atom_site_fract_z
_atom_site_occupancy
Nd1 Nd 0.0000 0.1374 0.2500 1
Pt1 Pt 0.0000 0.4126 0.2500 1
```

Record 8
Computed powder diffractogram
Compound: PrAgAs2
Radiation: a wavelength of 1.5418 Å
Structure: the PBE geometry in the Materials Project
Peak positions follow from Bragg's law for the DFT cell and can differ from measured ones.

Top 10 peaks for 2θ from 10° to 80°, most intense first:
(hkl)  two_theta  intensity
4 1 1  35.18  100
8 0 0  33.50  19
0 2 0  44.41  16
0 0 2  43.86  14
4 3 1  75.76  10
0 2 2  64.19  9
8 0 2  56.30  8
8 2 0  56.75  8
4 1 3  74.97  8
12 1 1  60.98  7

Structure:
```
data_PrAgAs2
_chemical_formula_sum 'Pr4 Ag4 As8'
_space_group_name_H-M_alt 'P n m a'
_space_group_IT_number 62
_space_group_name_Hall '-P 2ac 2n'
_cell_length_a 21.4003
_cell_length_b 4.0796
_cell_length_c 4.1283
_cell_angle_alpha 90.00
_cell_angle_beta 90.00
_cell_angle_gamma 90.00
loop_
_atom_site_label
_atom_site_type_symbol
_atom_site_fract_x
_atom_site_fract_y
_atom_site_fract_z
_atom_site_occupancy
Pr1 Pr 0.1160 0.2500 0.2250 1
Ag1 Ag 0.2501 0.2500 0.7242 1
As1 As 0.0019 0.2500 0.6998 1
As2 As 0.1615 0.7500 0.7241 1
```